Computed X-ray powder pattern of K2NaZn2H5C4O14 for Cu Kα (weighted mean of Kα1 and Kα2), from the GGA-PBE geometry in the Materials Project.
Peak positions follow from Bragg's law for the DFT cell and can differ from measured ones.

Structure:
Unit cell a=5.2187 b=11.1538 c=11.6356 alpha=90.00 beta=113.63 gamma=90.00
Space group P2_1/c (No. 14)
Inequivalent atoms, fractional coordinates:
K: 0.0394 0.1653 0.0759 [4 per cell]
Na: 0.0000 0.0000 0.5000 [2 per cell]
Zn: 0.3258 0.6032 0.7947 [4 per cell]
H: 0.0588 0.6914 0.1844 [4 per cell]
H: 0.3840 0.6686 0.2317 [4 per cell]
H: 0.5000 0.0000 0.0000 [2 per cell]
C: 0.2899 0.0751 0.8200 [4 per cell]
C: 0.4275 0.1275 0.4343 [4 per cell]
O: 0.0606 0.0620 0.8368 [4 per cell]
O: 0.2102 0.1673 0.4479 [4 per cell]
O: 0.2436 0.7101 0.2568 [4 per cell]
O: 0.2926 0.1153 0.7164 [4 per cell]
O: 0.3311 0.6201 0.9693 [4 per cell]
O: 0.4134 0.0921 0.3247 [4 per cell]
O: 0.4707 0.5461 0.5887 [4 per cell]

The 8 most intense peaks (2θ = 10–80°), in order of rising 2θ:
d/Å, 2theta, Rel. int., h k l
4.942, 18.0, 100, 0 2 1
4.722, 18.8, 79, 1 1 -1
3.027, 29.5, 61, 1 3 -1
2.997, 29.8, 65, 0 2 3
2.788, 32.1, 51, 0 4 0
2.777, 32.2, 53, 1 1 -4
2.698, 33.2, 61, 0 4 1
2.606, 34.4, 52, 2 0 -2

Computed X-ray powder pattern of KH3C2O3 for Cu Kα (weighted mean of Kα1 and Kα2), from the GGA-PBE geometry in the Materials Project.
Peak positions follow from Bragg's law for the DFT cell and can differ from measured ones.

Structure:
Unit cell a=3.8715 b=5.7028 c=10.0319 alpha=101.04 beta=90.25 gamma=92.49
Space group P-1 (No. 2)
Inequivalent atoms, fractional coordinates:
K: 0.1244 0.2892 0.1245 [2 per cell]
H: 0.0092 0.1745 0.6108 [2 per cell]
H: 0.1690 0.4631 0.5863 [2 per cell]
H: 0.4196 0.2046 0.5330 [2 per cell]
C: 0.2412 0.2915 0.6100 [2 per cell]
C: 0.4891 0.1564 0.8037 [2 per cell]
O: 0.3419 0.7759 0.0858 [2 per cell]
O: 0.3930 0.9486 0.7460 [2 per cell]
O: 0.4058 0.3498 0.7423 [2 per cell]

The 8 most intense peaks (2θ = 10–80°), in order of rising 2θ:
d/Å, 2theta, Rel. int., h k l
4.923, 18.0, 44, 0 0 2
3.386, 26.3, 34, 0 1 2
3.116, 28.7, 36, 1 1 0
3.061, 29.2, 100, 1 0 -2
2.998, 29.8, 38, -1 1 1
2.847, 31.4, 28, 1 -1 2
2.796, 32.0, 35, 0 2 0
2.785, 32.1, 25, 1 1 -2

Computed X-ray powder pattern of KHCO3 for Cu Kα (weighted mean of Kα1 and Kα2), from the GGA-PBE geometry in the Materials Project.
Peak positions follow from Bragg's law for the DFT cell and can differ from measured ones.

Structure:
Unit cell a=4.4172 b=5.6308 c=7.0228 alpha=109.73 beta=104.79 gamma=94.50
Space group P-1 (No. 2)
Inequivalent atoms, fractional coordinates:
K: 0.2084 0.3591 0.1955 [2 per cell]
H: 0.0455 0.2020 0.5737 [2 per cell]
C: 0.4001 0.0731 0.7267 [2 per cell]
O: 0.2520 0.2690 0.7003 [2 per cell]
O: 0.2584 0.8413 0.6091 [2 per cell]
O: 0.3338 0.8625 0.1332 [2 per cell]

The 8 most intense peaks (2θ = 10–80°), in order of rising 2θ:
d/Å, 2theta, Rel. int., h k l
3.153, 28.3, 67, 0 0 2
3.129, 28.5, 80, 1 -1 1
3.015, 29.6, 42, 1 1 0
2.989, 29.9, 100, 1 0 -2
2.885, 31.0, 90, 1 1 -2
2.419, 37.2, 56, 1 -2 0
2.223, 40.6, 48, 1 0 2
2.101, 43.1, 57, 2 0 0